The following is a computed PXRD pattern of HfMnAl. It was derived from a crystal structure in the Materials Project, relaxed with PBE, using copper Kα.
Kinematic intensities with the Lorentz-polarization factor, no thermal factor.

Peak list (8 most intense, 2θ = 5–70°, low angle first)
- 2θ 20.06, d = 4.427 Å, I = 25
- 2θ 29.40, d = 3.038 Å, I = 23
- 2θ 35.03, d = 2.561 Å, I = 25
- 2θ 35.26, d = 2.546 Å, I = 41
- 2θ 38.16, d = 2.358 Å, I = 100
- 2θ 41.33, d = 2.184 Å, I = 22
- 2θ 41.53, d = 2.174 Å, I = 52
- 2θ 42.23, d = 2.140 Å, I = 27

Crystal structure
```
data_HfMnAl
_chemical_formula_sum 'Hf4 Mn4 Al4'
_cell_length_a 8.3648
_cell_length_b 5.0913
_cell_length_c 5.0913
_cell_angle_alpha 60.41
_cell_angle_beta 90.00
_cell_angle_gamma 90.00
_space_group_name_H-M_alt 'P 1'
_space_group_IT_number 1
loop_
_space_group_symop_operation_xyz
'x,y,z'
loop_
_atom_site_label
_atom_site_type_symbol
_atom_site_fract_x
_atom_site_fract_y
_atom_site_fract_z
Hf1 Hf 0.1754 0.0000 0.0000
Hf2 Hf 0.3032 0.6637 0.6637
Hf3 Hf 0.6968 0.6637 0.6637
Hf4 Hf 0.8246 0.0000 0.0000
Mn1 Mn 0.0000 0.5043 0.5043
Mn2 Mn 0.0000 0.5098 0.9625
Mn3 Mn 0.0000 0.9625 0.5098
Mn4 Mn 0.5000 0.1620 0.1620
Al1 Al 0.2359 0.3234 0.3234
Al2 Al 0.5000 0.1616 0.6717
Al3 Al 0.5000 0.6717 0.1616
Al4 Al 0.7641 0.3234 0.3234
```


The following is a computed PXRD pattern of K2CdSnS4. It was derived from a crystal structure in the Materials Project, relaxed with PBE, using copper Kα.
Kinematic intensities with the Lorentz-polarization factor, no thermal factor.

Peak list (8 most intense, 2θ = 5–70°, low angle first)
- 2θ 13.18, d = 6.716 Å, I = 73
- 2θ 15.38, d = 5.762 Å, I = 56
- 2θ 23.86, d = 3.729 Å, I = 53
- 2θ 24.30, d = 3.662 Å, I = 63
- 2θ 25.11, d = 3.547 Å, I = 55
- 2θ 30.20, d = 2.959 Å, I = 100
- 2θ 31.04, d = 2.881 Å, I = 81
- 2θ 45.65, d = 1.987 Å, I = 64

Crystal structure
```
data_K2CdSnS4
_chemical_formula_sum 'K8 Cd4 Sn4 S16'
_cell_length_a 7.9527
_cell_length_b 7.9527
_cell_length_c 15.2162
_cell_angle_alpha 96.03
_cell_angle_beta 96.03
_cell_angle_gamma 89.71
_space_group_name_H-M_alt 'P 1'
_space_group_IT_number 1
loop_
_space_group_symop_operation_xyz
'x,y,z'
loop_
_atom_site_label
_atom_site_type_symbol
_atom_site_fract_x
_atom_site_fract_y
_atom_site_fract_z
K1 K 0.1555 0.7785 0.6173
K2 K 0.2215 0.8445 0.8827
K3 K 0.2273 0.3546 0.8802
K4 K 0.3546 0.2273 0.3802
K5 K 0.6454 0.7727 0.6198
K6 K 0.7727 0.6454 0.1198
K7 K 0.7785 0.1555 0.1173
K8 K 0.8445 0.2215 0.3827
Cd1 Cd 0.3089 0.4128 0.1605
Cd2 Cd 0.4128 0.3089 0.6605
Cd3 Cd 0.5872 0.6911 0.3395
Cd4 Cd 0.6911 0.5872 0.8395
Sn1 Sn 0.0926 0.7044 0.3501
Sn2 Sn 0.2956 0.9074 0.1499
Sn3 Sn 0.7044 0.0926 0.8501
Sn4 Sn 0.9074 0.2956 0.6499
S1 S 0.0616 0.4368 0.2608
S2 S 0.0648 0.9352 0.2500
S3 S 0.1334 0.2397 0.5581
S4 S 0.2397 0.1334 0.0581
S5 S 0.2588 0.6463 0.0554
S6 S 0.3537 0.7412 0.4446
S7 S 0.4117 0.5883 0.7500
S8 S 0.4368 0.0616 0.7608
S9 S 0.5632 0.9384 0.2392
S10 S 0.5883 0.4117 0.2500
S11 S 0.6463 0.2588 0.5554
S12 S 0.7412 0.3537 0.9446
S13 S 0.7603 0.8666 0.9419
S14 S 0.8666 0.7603 0.4419
S15 S 0.9352 0.0648 0.7500
S16 S 0.9384 0.5632 0.7392
```


The following is a computed PXRD pattern of Pm3Pd. It was derived from a crystal structure in the Materials Project, relaxed with PBE, using copper Kα.
Kinematic intensities with the Lorentz-polarization factor, no thermal factor.

Peak list (8 most intense, 2θ = 5–70°, low angle first)
- 2θ 32.52, d = 2.753 Å, I = 100
- 2θ 33.26, d = 2.694 Å, I = 24
- 2θ 39.80, d = 2.265 Å, I = 29
- 2θ 52.81, d = 1.734 Å, I = 25
- 2θ 57.55, d = 1.601 Å, I = 10
- 2θ 58.96, d = 1.567 Å, I = 18
- 2θ 67.68, d = 1.384 Å, I = 24
- 2θ 68.11, d = 1.377 Å, I = 12

Crystal structure
```
data_Pm3Pd
_chemical_formula_sum 'Pm6 Pd2'
_cell_length_a 4.5297
_cell_length_b 4.5297
_cell_length_c 10.7764
_cell_angle_alpha 90.00
_cell_angle_beta 90.00
_cell_angle_gamma 90.00
_space_group_name_H-M_alt 'P 1'
_space_group_IT_number 1
loop_
_space_group_symop_operation_xyz
'x,y,z'
loop_
_atom_site_label
_atom_site_type_symbol
_atom_site_fract_x
_atom_site_fract_y
_atom_site_fract_z
Pm1 Pm 0.0000 0.0000 0.0000
Pm2 Pm 0.0000 0.5000 0.2500
Pm3 Pm 0.0000 0.5000 0.7500
Pm4 Pm 0.5000 0.0000 0.2500
Pm5 Pm 0.5000 0.0000 0.7500
Pm6 Pm 0.5000 0.5000 0.5000
Pd1 Pd 0.0000 0.0000 0.5000
Pd2 Pd 0.5000 0.5000 0.0000
```


The following is a computed PXRD pattern of TlHCO2. It was derived from a crystal structure in the Materials Project, relaxed with PBE, using copper Kα.
Kinematic intensities with the Lorentz-polarization factor, no thermal factor.

Peak list (8 most intense, 2θ = 5–70°, low angle first)
- 2θ 19.18, d = 4.627 Å, I = 79
- 2θ 22.06, d = 4.029 Å, I = 27
- 2θ 24.93, d = 3.572 Å, I = 24
- 2θ 29.39, d = 3.039 Å, I = 100
- 2θ 33.52, d = 2.673 Å, I = 28
- 2θ 40.70, d = 2.217 Å, I = 18
- 2θ 46.77, d = 1.942 Å, I = 18
- 2θ 52.14, d = 1.754 Å, I = 19

Crystal structure
```
data_TlHCO2
_chemical_formula_sum 'Tl4 H4 C4 O8'
_cell_length_a 7.1438
_cell_length_b 6.0732
_cell_length_c 8.0604
_cell_angle_alpha 90.00
_cell_angle_beta 90.00
_cell_angle_gamma 90.00
_space_group_name_H-M_alt 'P 1'
_space_group_IT_number 1
loop_
_space_group_symop_operation_xyz
'x,y,z'
loop_
_atom_site_label
_atom_site_type_symbol
_atom_site_fract_x
_atom_site_fract_y
_atom_site_fract_z
Tl1 Tl 0.0078 0.0332 0.0000
Tl2 Tl 0.4922 0.5332 0.5000
Tl3 Tl 0.5078 0.4668 0.0000
Tl4 Tl 0.9922 0.9668 0.5000
H1 H 0.0641 0.5074 0.7479
H2 H 0.4359 0.0074 0.2479
H3 H 0.5641 0.9926 0.7479
H4 H 0.9359 0.4926 0.2479
C1 C 0.0917 0.5007 0.2467
C2 C 0.4083 0.0007 0.7467
C3 C 0.5917 0.9993 0.2467
C4 C 0.9083 0.4993 0.7467
O1 O 0.1686 0.6648 0.3168
O2 O 0.1784 0.3442 0.1752
O3 O 0.3216 0.8442 0.6752
O4 O 0.3314 0.1648 0.8168
O5 O 0.6686 0.8352 0.3168
O6 O 0.6784 0.1558 0.1752
O7 O 0.8216 0.6558 0.6752
O8 O 0.8314 0.3352 0.8168
```


The following is a computed PXRD pattern of Tb5Ru2O12. It was derived from a crystal structure in the Materials Project, relaxed with PBE, using copper Kα.
Kinematic intensities with the Lorentz-polarization factor, no thermal factor.

Peak list (8 most intense, 2θ = 5–70°, low angle first)
- 2θ 27.03, d = 3.299 Å, I = 98
- 2θ 28.87, d = 3.093 Å, I = 100
- 2θ 32.54, d = 2.751 Å, I = 31
- 2θ 33.11, d = 2.706 Å, I = 60
- 2θ 40.51, d = 2.227 Å, I = 35
- 2θ 45.95, d = 1.975 Å, I = 30
- 2θ 52.67, d = 1.738 Å, I = 27
- 2θ 55.66, d = 1.651 Å, I = 40

Crystal structure
```
data_Tb5Ru2O12
_chemical_formula_sum 'Tb5 Ru2 O12'
_cell_length_a 6.9304
_cell_length_b 6.9304
_cell_length_c 7.3214
_cell_angle_alpha 105.36
_cell_angle_beta 105.36
_cell_angle_gamma 49.28
_space_group_name_H-M_alt 'P 1'
_space_group_IT_number 1
loop_
_space_group_symop_operation_xyz
'x,y,z'
loop_
_atom_site_label
_atom_site_type_symbol
_atom_site_fract_x
_atom_site_fract_y
_atom_site_fract_z
Tb1 Tb 0.0000 0.0000 0.0000
Tb2 Tb 0.2997 0.2997 0.1385
Tb3 Tb 0.3041 0.3041 0.6662
Tb4 Tb 0.6959 0.6959 0.3338
Tb5 Tb 0.7003 0.7003 0.8615
Ru1 Ru 0.2690 0.7310 0.5000
Ru2 Ru 0.7310 0.2690 0.5000
O1 O 0.0004 0.0004 0.3294
O2 O 0.9996 0.9996 0.6706
O3 O 0.0959 0.5999 0.9267
O4 O 0.1049 0.5640 0.4153
O5 O 0.4001 0.9041 0.0733
O6 O 0.4360 0.8951 0.5847
O7 O 0.4993 0.4993 0.7069
O8 O 0.5007 0.5007 0.2931
O9 O 0.5640 0.1049 0.4153
O10 O 0.5999 0.0959 0.9267
O11 O 0.8951 0.4360 0.5847
O12 O 0.9041 0.4001 0.0733
```


The following is a computed PXRD pattern of K2Zn6O7. It was derived from a crystal structure in the Materials Project, relaxed with PBE, using copper Kα.
Kinematic intensities with the Lorentz-polarization factor, no thermal factor.

Peak list (8 most intense, 2θ = 5–70°, low angle first)
- 2θ 17.97, d = 4.936 Å, I = 21
- 2θ 32.45, d = 2.759 Å, I = 40
- 2θ 35.18, d = 2.551 Å, I = 100
- 2θ 46.55, d = 1.951 Å, I = 14
- 2θ 54.43, d = 1.686 Å, I = 12
- 2θ 57.71, d = 1.597 Å, I = 12
- 2θ 59.66, d = 1.550 Å, I = 19
- 2θ 62.85, d = 1.479 Å, I = 12

Crystal structure
```
data_K2Zn6O7
_chemical_formula_sum 'K4 Zn12 O14'
_cell_length_a 11.0367
_cell_length_b 11.0367
_cell_length_c 3.3715
_cell_angle_alpha 90.00
_cell_angle_beta 90.00
_cell_angle_gamma 90.00
_space_group_name_H-M_alt 'P 1'
_space_group_IT_number 1
loop_
_space_group_symop_operation_xyz
'x,y,z'
loop_
_atom_site_label
_atom_site_type_symbol
_atom_site_fract_x
_atom_site_fract_y
_atom_site_fract_z
K1 K 0.1403 0.1403 0.0000
K2 K 0.3597 0.6403 0.5000
K3 K 0.6403 0.3597 0.5000
K4 K 0.8597 0.8597 0.0000
Zn1 Zn 0.0874 0.6517 0.0000
Zn2 Zn 0.1212 0.8788 0.5000
Zn3 Zn 0.1517 0.4126 0.5000
Zn4 Zn 0.3483 0.9126 0.0000
Zn5 Zn 0.3788 0.3788 0.0000
Zn6 Zn 0.4126 0.1517 0.5000
Zn7 Zn 0.5874 0.8483 0.5000
Zn8 Zn 0.6212 0.6212 0.0000
Zn9 Zn 0.6517 0.0874 0.0000
Zn10 Zn 0.8483 0.5874 0.5000
Zn11 Zn 0.8788 0.1212 0.5000
Zn12 Zn 0.9126 0.3483 0.0000
O1 O 0.0000 0.0000 0.5000
O2 O 0.0038 0.3126 0.5000
O3 O 0.1874 0.5038 0.0000
O4 O 0.1918 0.8082 0.0000
O5 O 0.3082 0.3082 0.5000
O6 O 0.3126 0.0038 0.5000
O7 O 0.4962 0.8126 0.0000
O8 O 0.5000 0.5000 0.0000
O9 O 0.5038 0.1874 0.0000
O10 O 0.6874 0.9962 0.5000
O11 O 0.6918 0.6918 0.5000
O12 O 0.8082 0.1918 0.0000
O13 O 0.8126 0.4962 0.0000
O14 O 0.9962 0.6874 0.5000
```